No. 1
For Tl3GaAu4, the GGA-PBE geometry in Alexandria gives the theoretical X-ray diffraction stick pattern in this record (Cu Kα, 1.54184 Å).
Intensities are scaled so that the largest is 100.

Largest 8 diffraction maxima, by angle, 2θ from 15° to 90°:
2θ (°)	I (rel.)	(hkl)
21.2	39	2 1 1
22.7	45	0 0 2
27.2	65	2 2 1
32.5	45	1 3 1
36.3	100	4 2 0
39.6	64	0 4 0
40.6	90	1 2 3
43.2	43	4 2 2

Atomic structure:
Cell: 11.8116 9.1037 7.8282 Å, 90.00 90.00 90.00°
Space group Pnma (No. 62)
Unique sites:
Tl: 0.0459 0.2500 0.1790 (multiplicity 4)
Tl: 0.1447 0.0286 0.6100 (multiplicity 8)
Ga: 0.1090 0.7500 0.1699 (multiplicity 4)
Au: 0.0303 0.7500 0.4750 (multiplicity 4)
Au: 0.1216 0.5202 0.9869 (multiplicity 8)
Au: 0.2257 0.2500 0.8980 (multiplicity 4)


No. 2
For AcErAsSe, the GGA-PBE geometry in Alexandria gives the theoretical X-ray diffraction stick pattern in this record (Cu Kα, 1.54184 Å).
Intensities are scaled so that the largest is 100.

Largest 8 diffraction maxima, by angle, 2θ from 15° to 90°:
2θ (°)	I (rel.)	(hkl)
24.9	36	1 0 1
25.9	45	0 1 2
29.3	26	1 0 4
31.7	100	0 1 5
37.3	49	1 0 7
43.3	56	1 1 0
54.6	22	2 0 5
66.9	24	1 1 12

Atomic structure:
Cell: 4.1784 4.1784 22.5842 Å, 90.00 90.00 120.00°
Space group R3m (No. 160, hexagonal axes)
Unique sites:
Ac: 0.0000 0.0000 0.0000 (multiplicity 3)
Er: 0.0000 0.0000 0.8201 (multiplicity 3)
As: 0.0000 0.0000 0.4183 (multiplicity 3)
Se: 0.0000 0.0000 0.5702 (multiplicity 3)


No. 3
For Ce4B, the GGA-PBE geometry in Alexandria gives the theoretical X-ray diffraction stick pattern in this record (Cu Kα, 1.54184 Å).
Intensities are scaled so that the largest is 100.

Largest 8 diffraction maxima, by angle, 2θ from 15° to 90°:
2θ (°)	I (rel.)	(hkl)
30.4	100	1 1 1
35.2	54	2 0 0
50.7	38	2 2 0
60.2	43	3 1 1
63.2	13	2 2 2
74.5	6	4 0 0
82.5	18	3 3 1
85.2	17	4 2 0

Atomic structure:
Cell: 5.0953 5.0953 5.0953 Å, 90.00 90.00 90.00°
Space group Pm-3m (No. 221)
Unique sites:
Ce: 0.0000 0.0000 0.0000 (multiplicity 1)
Ce: 0.0000 0.5000 0.5000 (multiplicity 3)
B: 0.5000 0.5000 0.5000 (multiplicity 1)


No. 4
For KNaGa2Ge2, the GGA-PBE geometry in Alexandria gives the theoretical X-ray diffraction stick pattern in this record (Cu Kα, 1.54184 Å).
Intensities are scaled so that the largest is 100.

Largest 8 diffraction maxima, by angle, 2θ from 15° to 90°:
2θ (°)	I (rel.)	(hkl)
17.5	67	0 0 2
30.0	100	0 1 2
35.4	25	0 0 4
42.6	56	1 1 0
46.3	33	1 1 2
52.9	19	2 0 2
56.5	36	1 1 4
70.2	15	1 2 2

Atomic structure:
Cell: 4.2478 4.2478 10.1564 Å, 90.00 90.00 120.00°
Space group P-3m1 (No. 164)
Unique sites:
K: 0.0000 0.0000 0.0000 (multiplicity 1)
Na: 0.0000 0.0000 0.5000 (multiplicity 1)
Ga: 0.3333 0.6667 0.7211 (multiplicity 2)
Ge: 0.3333 0.6667 0.2625 (multiplicity 2)


No. 5
For Sm2Al9Cu6, the GGA-PBE geometry in Alexandria gives the theoretical X-ray diffraction stick pattern in this record (Cu Kα, 1.54184 Å).
Intensities are scaled so that the largest is 100.

Largest 8 diffraction maxima, by angle, 2θ from 15° to 90°:
2θ (°)	I (rel.)	(hkl)
20.5	22	1 0 1
21.7	28	0 0 3
33.5	53	1 1 0
40.2	100	1 1 3
44.2	18	0 0 6
56.6	23	1 1 6
64.4	24	3 0 3
86.9	15	2 2 6

Atomic structure:
Cell: 5.3564 5.3564 12.2885 Å, 90.00 90.00 120.00°
Space group P6/mmm (No. 191)
Unique sites:
Sm: 0.0000 0.0000 0.1652 (multiplicity 2)
Al: 0.0000 0.5000 0.0000 (multiplicity 3)
Al: 0.0000 0.5000 0.3372 (multiplicity 6)
Cu: 0.3333 0.6667 0.1683 (multiplicity 4)
Cu: 0.3333 0.6667 0.5000 (multiplicity 2)


No. 6
For Ge7Ru3, the GGA-PBE geometry in Alexandria gives the theoretical X-ray diffraction stick pattern in this record (Cu Kα, 1.54184 Å).
Intensities are scaled so that the largest is 100.

Largest 8 diffraction maxima, by angle, 2θ from 15° to 90°:
2θ (°)	I (rel.)	(hkl)
24.9	27	2 1 1
35.5	36	2 2 2
38.5	27	3 2 1
43.9	100	3 3 0
51.1	19	4 2 2
63.8	19	6 0 0
69.6	14	5 4 1
80.7	34	6 3 3

Atomic structure:
Cell: 8.7538 8.7538 8.7538 Å, 90.00 90.00 90.00°
Space group Im-3m (No. 229)
Unique sites:
Ge: 0.0000 0.2500 0.5000 (multiplicity 12)
Ge: 0.1609 0.1609 0.1609 (multiplicity 16)
Ru: 0.0000 0.0000 0.3420 (multiplicity 12)


No. 7
For Ag3Te8Pt3, the GGA-PBE geometry in Alexandria gives the theoretical X-ray diffraction stick pattern in this record (Cu Kα, 1.54184 Å).
Intensities are scaled so that the largest is 100.

Largest 8 diffraction maxima, by angle, 2θ from 15° to 90°:
2θ (°)	I (rel.)	(hkl)
21.6	15	1 0 4
25.4	59	0 2 1
30.7	82	0 2 4
40.2	53	0 2 7
44.0	100	2 2 0
54.6	18	4 0 4
72.6	19	2 4 4
80.8	21	6 0 0

Atomic structure:
Cell: 8.2402 8.2402 20.1489 Å, 90.00 90.00 120.00°
Space group R-3m (No. 166, hexagonal axes)
Unique sites:
Ag: 0.0000 0.0000 0.0000 (multiplicity 3)
Ag: 0.0000 0.0000 0.3791 (multiplicity 6)
Te: 0.0000 0.0000 0.2350 (multiplicity 6)
Te: 0.0318 0.5159 0.7594 (multiplicity 18)
Pt: 0.0000 0.5000 0.5000 (multiplicity 9)


No. 8
For MnNi2H3, the GGA-PBE geometry in Alexandria gives the theoretical X-ray diffraction stick pattern in this record (Cu Kα, 1.54184 Å).
Intensities are scaled so that the largest is 100.

Largest 8 diffraction maxima, by angle, 2θ from 15° to 90°:
2θ (°)	I (rel.)	(hkl)
35.0	8	0 0 2
41.6	100	1 1 0
42.7	78	1 0 2
55.5	14	1 1 2
61.1	26	2 0 2
75.9	15	3 0 0
76.7	24	2 1 2
88.7	20	1 1 4

Atomic structure:
Cell: 4.3425 4.3425 5.1234 Å, 90.00 90.00 120.00°
Space group P6_3/mcm (No. 193)
Unique sites:
Mn: 0.0000 0.0000 0.2500 (multiplicity 2)
Ni: 0.3333 0.6667 0.0000 (multiplicity 4)
H: 0.0000 0.4607 0.2500 (multiplicity 6)